No. 1
This entry pairs a crystal structure of Tb2AlGa6Cu with its calculated powder X-ray diffraction pattern. Radiation: copper Kα. Structure: a DFT-relaxed cell (PBE, Alexandria).
Kinematic intensities with the Lorentz-polarization factor, no thermal factor.

Atomic structure:
Unit cell a=6.2929 b=6.2929 c=35.2155 alpha=90.00 beta=90.00 gamma=120.00
Space group R-3m (No. 166, hexagonal axes)
Asymmetric unit:
Tb: 0.0000 0.0000 0.1178
Tb: 0.0000 0.0000 0.3021
Al: 0.0000 0.0000 0.0000
Al: 0.0000 0.0000 0.5000
Ga: 0.0364 0.5182 0.2872
Ga: 0.0703 0.5352 0.8767
Cu: 0.0000 0.0000 0.4321

Peak list (8 most intense, 2θ = 5–70°, by intensity)
| h k l | 2θ (°) | d/Å | I/Imax |
| --- | --- | --- | --- |
| 2 0 5 | 35.32 | 2.541 | 100 |
| 0 2 7 | 37.54 | 2.396 | 86 |
| 0 0 12 | 30.46 | 2.935 | 57 |
| 1 1 0 | 28.37 | 3.146 | 50 |
| 2 2 0 | 58.68 | 1.573 | 34 |
| 2 0 17 | 55.76 | 1.649 | 30 |
| 0 2 10 | 41.92 | 2.155 | 29 |
| 1 0 10 | 30.22 | 2.958 | 28 |

***

No. 2
This entry pairs a crystal structure of ThAlGa2Cu2 with its calculated powder X-ray diffraction pattern. Radiation: copper Kα. Structure: a DFT-relaxed cell (PBE, Alexandria).
Kinematic intensities with the Lorentz-polarization factor, no thermal factor.

Atomic structure:
Unit cell a=4.2109 b=4.2109 c=6.9296 alpha=90.00 beta=90.00 gamma=120.00
Space group P-3m1 (No. 164)
Asymmetric unit:
Th: 0.0000 0.0000 0.0000
Al: 0.0000 0.0000 0.5000
Ga: 0.3333 0.6667 0.7261
Cu: 0.3333 0.6667 0.3322

Peak list (8 most intense, 2θ = 5–70°, by intensity)
| h k l | 2θ (°) | d/Å | I/Imax |
| --- | --- | --- | --- |
| 1 0 2 | 35.75 | 2.512 | 100 |
| 1 0 1 | 27.64 | 3.227 | 87 |
| 1 1 0 | 42.96 | 2.105 | 66 |
| 1 1 3 | 59.40 | 1.556 | 28 |
| 0 2 2 | 57.08 | 1.614 | 26 |
| 0 0 3 | 38.99 | 2.310 | 16 |
| 0 2 1 | 51.85 | 1.763 | 16 |
| 0 0 1 | 12.77 | 6.930 | 14 |